Theoretical X-ray diffraction stick pattern of NdAsSe for Cu Kα X-rays, from a structure optimized by DFT (GGA-PBE).

Most intense lines, 10 to 80 degrees two-theta, by angle:
hkl	d_spacing	Rel. int.
1 1 2	3.686	41
0 0 6	3.022	41
2 0 0	2.859	17
0 2 0	2.846	16
2 0 2	2.727	31
0 2 2	2.715	33
2 0 4	2.419	100
0 2 4	2.411	42
2 2 0	2.017	48
2 2 6	1.678	26

Cell and atoms:
Unit cell a=5.719 b=5.692 c=18.137 alpha=90.00 beta=90.00 gamma=90.00
Space group Cmce (No. 64)
One atom of each set of equivalent atoms:
1 Nd 0.000 0.244 0.140
2 As 0.220 0.000 0.500
3 Se 0.000 0.246 0.313


Theoretical X-ray diffraction stick pattern of NdZn3As3 for Cu Kα X-rays, from a structure optimized by DFT (GGA-PBE).

Most intense lines, 10 to 80 degrees two-theta, by angle:
hkl	d_spacing	Rel. int.
1 2 -1	3.436	100
0 4 1	2.976	66
1 5 0	2.731	33
0 8 0	2.579	30
1 6 -1	2.501	93
1 0 1	2.106	79
2 0 -1	2.100	38
1 9 -1	1.940	19
0 2 2	1.796	28
1 8 1	1.631	27

Cell and atoms:
Unit cell a=4.201 b=20.632 c=4.207 alpha=90.00 beta=119.81 gamma=90.00
Space group Pm (No. 6)
One atom of each set of equivalent atoms:
1 Nd 0.000 0.250 0.000
2 Zn 0.331 0.122 0.667
3 Zn 0.359 0.500 0.636
4 Zn 0.665 0.378 0.334
5 Zn 0.727 0.000 0.361
6 As 0.332 0.336 0.667
7 As 0.396 0.000 0.699
8 As 0.665 0.164 0.333
9 As 0.696 0.500 0.298


Theoretical X-ray diffraction stick pattern of NiAs for Cu Kα X-rays, from a structure optimized by DFT (GGA-PBE).

Most intense lines, 10 to 80 degrees two-theta, by angle:
hkl	d_spacing	Rel. int.
1 0 0	3.157	13
1 0 1	2.676	100
1 0 2	1.971	96
1 1 0	1.823	70
2 0 0	1.579	1
2 0 1	1.507	17
1 0 3	1.484	16
1 1 2	1.477	1
2 0 2	1.338	25
0 0 4	1.261	7

Cell and atoms:
Unit cell a=3.6458 b=3.6458 c=5.0451 alpha=90.00 beta=90.00 gamma=120.00
Space group P6_3/mmc (No. 194)
One atom of each set of equivalent atoms:
1 Ni 0.0000 0.0000 0.0000
2 As 0.3333 0.6667 0.2500


Theoretical X-ray diffraction stick pattern of NiAs for Cu Kα X-rays, from a structure optimized by DFT (GGA-PBE).

Most intense lines, 10 to 80 degrees two-theta, by angle:
hkl	d_spacing	Rel. int.
1 0 0	3.048	25
1 0 1	2.686	56
1 0 2	2.078	100
1 1 0	1.760	49
1 0 3	1.609	11
2 0 0	1.524	3
2 0 1	1.472	8
0 0 4	1.421	8
2 0 2	1.343	23
1 0 4	1.288	4

Cell and atoms:
Unit cell a=3.5190 b=3.5190 c=5.6840 alpha=90.00 beta=90.00 gamma=120.00
Space group P6_3/mmc (No. 194)
One atom of each set of equivalent atoms:
1 Ni 0.3333 0.6667 0.2500
2 As 0.0000 0.0000 0.0000


Theoretical X-ray diffraction stick pattern of Ni3As for Cu Kα X-rays, from a structure optimized by DFT (GGA-PBE).

Most intense lines, 10 to 80 degrees two-theta, by angle:
hkl	d_spacing	Rel. int.
1 0 1	3.007	1
2 0 0	2.206	25
0 0 2	2.055	27
2 0 1	1.944	100
2 0 2	1.503	14
2 2 0	1.274	15

Cell and atoms:
Unit cell a=5.0940 b=5.0940 c=4.1096 alpha=90.00 beta=90.00 gamma=120.00
Space group P6_3/mmc (No. 194)
One atom of each set of equivalent atoms:
1 Ni 0.1671 0.3341 0.2500
2 As 0.3333 0.6667 0.7500


Theoretical X-ray diffraction stick pattern of PrNi2As2 for Cu Kα X-rays, from a structure optimized by DFT (GGA-PBE).

Most intense lines, 10 to 80 degrees two-theta, by angle:
hkl	d_spacing	Rel. int.
1 1 0	2.910	26
1 0 3	2.606	100
1 1 2	2.522	89
2 0 0	2.058	64
1 0 5	1.814	25
2 1 3	1.615	46
1 1 6	1.458	23
2 2 0	1.455	20
2 1 5	1.361	18
3 1 2	1.260	19

Cell and atoms:
Unit cell a=4.116 b=4.116 c=10.103 alpha=90.00 beta=90.00 gamma=90.00
Space group I4/mmm (No. 139)
One atom of each set of equivalent atoms:
1 Pr 0.000 0.000 0.000
2 Ni 0.000 0.500 0.250
3 As 0.000 0.000 0.367


Theoretical X-ray diffraction stick pattern of PrNi2As2 for Cu Kα X-rays, from a structure optimized by DFT (GGA-PBE).

Most intense lines, 10 to 80 degrees two-theta, by angle:
hkl	d_spacing	Rel. int.
1 1 0	2.987	20
1 0 3	2.540	74
1 1 2	2.532	100
2 0 0	2.112	66
1 0 5	1.738	23
2 1 3	1.624	37
2 2 0	1.494	21
1 1 6	1.403	15
2 1 5	1.342	19
3 1 2	1.287	31

Cell and atoms:
Unit cell a=4.225 b=4.225 c=9.537 alpha=90.00 beta=90.00 gamma=90.00
Space group P4/nmm (No. 129, origin choice 2)
One atom of each set of equivalent atoms:
1 Pr 0.250 0.250 0.248
2 Ni 0.250 0.250 0.620
3 Ni 0.250 0.750 0.000
4 As 0.250 0.250 0.871
5 As 0.250 0.750 0.500


Theoretical X-ray diffraction stick pattern of Rb2NiAs2 for Cu Kα X-rays, from a structure optimized by DFT (GGA-PBE).

Most intense lines, 10 to 80 degrees two-theta, by angle:
hkl	d_spacing	Rel. int.
0 2 0	7.140	24
1 1 0	6.342	29
1 3 1	3.306	100
0 0 2	3.021	29
2 2 1	2.808	58
1 3 2	2.400	16
0 6 2	1.870	17
3 1 2	1.844	23
3 5 0	1.819	27
1 3 3	1.794	17

Cell and atoms:
Unit cell a=7.078 b=14.281 c=6.042 alpha=90.00 beta=90.00 gamma=90.00
Space group Cmcm (No. 63)
One atom of each set of equivalent atoms:
1 Rb 0.000 0.088 0.250
2 Rb 0.000 0.293 0.750
3 Ni 0.000 0.500 0.000
4 As 0.173 0.404 0.250